Simulated powder X-ray diffraction pattern of SrAc3Tb for a wavelength of 1.5418 Å, from a PBE-relaxed structure.

Cell lengths 8.735, 5.630, 8.813 Å; angles 90.00, 90.63, 90.00 degrees
Element x y z (fractional)
Sr (0.246, 0.250, 0.259)
Sr (0.754, 0.750, 0.741)
Ac (0.148, 0.750, 0.946)
Ac (0.334, 0.750, 0.555)
Ac (0.438, 0.250, 0.846)
Ac (0.562, 0.750, 0.154)
Ac (0.666, 0.250, 0.445)
Ac (0.852, 0.250, 0.054)
Tb (0.052, 0.250, 0.649)
Tb (0.948, 0.750, 0.351)

Largest 6 diffraction maxima, sorted by position, 5° ≤ 2θ ≤ 70°:
27.58°, rel. 100.0; 27.85°, rel. 97.1; 31.79°, rel. 35.1; 32.27°, rel. 66.0; 45.93°, rel. 62.9; 54.57°, rel. 29.7

Simulated powder X-ray diffraction pattern of Ba2Pt3 for a wavelength of 1.5418 Å, from a PBE-relaxed structure.

Cell lengths 8.831, 8.831, 8.831 Å; angles 29.36, 29.36, 29.36 degrees
Element x y z (fractional)
Ba (0.091, 0.091, 0.091)
Ba (0.909, 0.909, 0.909)
Pt (0.333, 0.333, 0.333)
Pt (0.500, 0.500, 0.500)
Pt (0.667, 0.667, 0.667)

Largest 6 diffraction maxima, sorted by position, 5° ≤ 2θ ≤ 70°:
29.00°, rel. 100.0; 33.88°, rel. 51.0; 40.29°, rel. 72.0; 50.40°, rel. 21.8; 60.26°, rel. 40.6; 66.42°, rel. 20.5

Simulated powder X-ray diffraction pattern of Er3TmTl for a wavelength of 1.5418 Å, from a PBE-relaxed structure.

Cell lengths 12.759, 12.759, 4.751 Å; angles 90.00, 90.00, 158.47 degrees
Element x y z (fractional)
Er (0.048, 0.952, 0.750)
Er (0.251, 0.749, 0.750)
Er (0.448, 0.552, 0.750)
Er (0.552, 0.448, 0.250)
Er (0.749, 0.251, 0.250)
Er (0.952, 0.048, 0.250)
Tm (0.150, 0.850, 0.250)
Tm (0.850, 0.150, 0.750)
Tl (0.349, 0.651, 0.250)
Tl (0.651, 0.349, 0.750)

Largest 6 diffraction maxima, sorted by position, 5° ≤ 2θ ≤ 70°:
32.03°, rel. 100.0; 35.82°, rel. 18.5; 37.74°, rel. 16.2; 37.87°, rel. 16.0; 53.06°, rel. 24.3; 62.00°, rel. 15.1

Simulated powder X-ray diffraction pattern of YAl2Cu4Si for a wavelength of 1.5418 Å, from a PBE-relaxed structure.

Cell lengths 8.831, 8.831, 8.831 Å; angles 26.95, 26.95, 26.95 degrees
Element x y z (fractional)
Y (0.000, 0.000, 0.000)
Al (0.247, 0.247, 0.247)
Al (0.753, 0.753, 0.753)
Cu (0.130, 0.130, 0.130)
Cu (0.407, 0.407, 0.407)
Cu (0.593, 0.593, 0.593)
Cu (0.870, 0.870, 0.870)
Si (0.500, 0.500, 0.500)

Largest 6 diffraction maxima, sorted by position, 5° ≤ 2θ ≤ 70°:
25.95°, rel. 25.6; 30.59°, rel. 20.2; 35.21°, rel. 60.6; 37.85°, rel. 70.2; 44.00°, rel. 100.0; 46.72°, rel. 18.1

Simulated powder X-ray diffraction pattern of Hg4AsS6 for a wavelength of 1.5418 Å, from a PBE-relaxed structure.

Cell lengths 7.245, 7.245, 12.715 Å; angles 107.37, 107.37, 60.25 degrees
Element x y z (fractional)
Hg (0.076, 0.924, 0.500)
Hg (0.242, 0.426, 0.994)
Hg (0.426, 0.242, 0.494)
Hg (0.427, 0.817, 0.836)
Hg (0.698, 0.911, 0.187)
Hg (0.817, 0.427, 0.336)
Hg (0.911, 0.698, 0.687)
Hg (0.924, 0.076, 0.000)
As (0.259, 0.833, 0.240)
As (0.833, 0.259, 0.740)
S (0.055, 0.573, 0.501)
S (0.113, 0.584, 0.194)
S (0.122, 0.188, 0.198)
S (0.160, 0.717, 0.879)
S (0.188, 0.122, 0.698)
S (0.405, 0.853, 0.423)
S (0.564, 0.624, 0.165)
S (0.573, 0.055, 0.001)
S (0.584, 0.113, 0.694)
S (0.624, 0.564, 0.665)
S (0.717, 0.160, 0.379)
S (0.853, 0.405, 0.923)

Largest 6 diffraction maxima, sorted by position, 5° ≤ 2θ ≤ 70°:
22.50°, rel. 30.4; 24.65°, rel. 27.7; 25.60°, rel. 100.0; 28.49°, rel. 30.2; 28.80°, rel. 51.1; 30.00°, rel. 27.6

Simulated powder X-ray diffraction pattern of CeErRuI for a wavelength of 1.5418 Å, from a PBE-relaxed structure.

Cell lengths 8.351, 8.351, 8.351 Å; angles 27.85, 27.85, 27.85 degrees
Element x y z (fractional)
Ce (0.000, 0.000, 0.000)
Er (0.211, 0.211, 0.211)
Ru (0.612, 0.612, 0.612)
I (0.442, 0.442, 0.442)

Largest 6 diffraction maxima, sorted by position, 5° ≤ 2θ ≤ 70°:
11.03°, rel. 18.8; 29.65°, rel. 39.4; 31.72°, rel. 100.0; 45.12°, rel. 50.2; 56.23°, rel. 33.2; 57.36°, rel. 18.1

Simulated powder X-ray diffraction pattern of TcMo6W3 for a wavelength of 1.5418 Å, from a PBE-relaxed structure.

Cell lengths 7.760, 4.471, 9.474 Å; angles 90.00, 105.72, 90.00 degrees
Element x y z (fractional)
Tc (0.049, 0.250, 0.403)
Tc (0.951, 0.750, 0.597)
Mo (0.050, 0.750, 0.900)
Mo (0.149, 0.750, 0.203)
Mo (0.151, 0.250, 0.700)
Mo (0.251, 0.750, 0.500)
Mo (0.350, 0.250, 0.300)
Mo (0.450, 0.750, 0.100)
Mo (0.550, 0.250, 0.900)
Mo (0.650, 0.750, 0.700)
Mo (0.749, 0.250, 0.500)
Mo (0.849, 0.750, 0.300)
Mo (0.851, 0.250, 0.797)
Mo (0.950, 0.250, 0.100)
W (0.249, 0.250, 0.000)
W (0.348, 0.750, 0.799)
W (0.449, 0.250, 0.599)
W (0.551, 0.750, 0.401)
W (0.652, 0.250, 0.201)
W (0.751, 0.750, 0.000)

Largest 6 diffraction maxima, sorted by position, 5° ≤ 2θ ≤ 70°:
11.85°, rel. 3.4; 28.22°, rel. 6.3; 40.32°, rel. 100.0; 40.38°, rel. 19.9; 58.24°, rel. 7.0; 58.41°, rel. 13.3

Simulated powder X-ray diffraction pattern of HfVTe4 for a wavelength of 1.5418 Å, from a PBE-relaxed structure.

Cell lengths 6.658, 3.828, 6.791 Å; angles 90.00, 90.31, 90.00 degrees
Element x y z (fractional)
Hf (0.000, 0.000, 0.000)
V (0.500, 0.500, 0.000)
Te (0.178, 0.500, 0.262)
Te (0.345, 0.000, 0.750)
Te (0.655, 0.000, 0.250)
Te (0.822, 0.500, 0.738)

Largest 6 diffraction maxima, sorted by position, 5° ≤ 2θ ≤ 70°:
13.04°, rel. 31.4; 29.83°, rel. 45.3; 30.00°, rel. 100.0; 37.89°, rel. 41.2; 47.35°, rel. 28.7; 57.09°, rel. 20.9